Starting from a cell relaxed with GGA-PBE, the XRD peak list of Na5B8C2 was simulated for a wavelength of 1.5418 Å.
Kinematic intensities with the Lorentz-polarization factor, no thermal factor.

Atomic structure:
```
data_Na5B8C2
_chemical_formula_sum 'Na20 B32 C8'
_space_group_name_H-M_alt 'C m c m'
_space_group_IT_number 63
_space_group_name_Hall '-C 2c 2'
_cell_length_a 2.8137
_cell_length_b 26.4476
_cell_length_c 8.6588
_cell_angle_alpha 90.00
_cell_angle_beta 90.00
_cell_angle_gamma 90.00
loop_
_atom_site_label
_atom_site_type_symbol
_atom_site_fract_x
_atom_site_fract_y
_atom_site_fract_z
Na1 Na 0.0000 0.0000 0.0000
Na2 Na 0.0000 0.2008 0.0011
Na3 Na 0.0000 0.3986 0.9996
B1 B 0.0000 0.0731 0.7500
B2 B 0.0000 0.0744 0.2500
B3 B 0.0000 0.1362 0.7500
B4 B 0.0000 0.1414 0.2500
B5 B 0.0000 0.2673 0.7500
B6 B 0.0000 0.3226 0.2500
B7 B 0.0000 0.4662 0.7500
B8 B 0.0000 0.4701 0.2500
C1 C 0.0000 0.2635 0.2500
C2 C 0.0000 0.3284 0.7500
```

Peak list (10 most intense, 2θ = 10–90°, by angle)
2θ/deg, I_rel, (hkl)
33.89, 138, 0 10 0
36.16, 166, 1 5 0
39.95, 491, 0 10 2
41.73, 379, 0 0 4
41.93, 1000, 1 5 2
56.38, 96, 1 5 4
62.13, 171, 1 15 0
76.31, 131, 1 5 6
77.65, 163, 1 15 4
80.44, 93, 2 10 2


Starting from a cell relaxed with GGA-PBE, the XRD peak list of Na10B13C7 was simulated for a wavelength of 1.5418 Å.
Kinematic intensities with the Lorentz-polarization factor, no thermal factor.

Atomic structure:
```
data_Na10B13C7
_chemical_formula_sum 'Na20 B26 C14'
_space_group_name_H-M_alt 'A m m 2'
_space_group_IT_number 38
_cell_length_a 8.5275
_cell_length_b 2.8253
_cell_length_c 25.4045
_cell_angle_alpha 90.00
_cell_angle_beta 90.00
_cell_angle_gamma 90.00
loop_
_space_group_symop_operation_xyz
'x,y,z'
'-x,-y,z'
'-x,y,z'
'x,-y,z'
'x,y+1/2,z+1/2'
'-x,-y+1/2,z+1/2'
'-x,y+1/2,z+1/2'
'x,-y+1/2,z+1/2'
loop_
_atom_site_label
_atom_site_type_symbol
_atom_site_fract_x
_atom_site_fract_y
_atom_site_fract_z
Na1 Na 0.2462 0.0000 0.0000
Na2 Na 0.2464 0.0000 0.3987
Na3 Na 0.2481 0.0000 0.7994
Na4 Na 0.2489 0.0000 0.2010
Na5 Na 0.2488 0.0000 0.6014
B1 B 0.0000 0.0000 0.0732
B2 B 0.0000 0.0000 0.2664
B3 B 0.0000 0.0000 0.4605
B4 B 0.0000 0.0000 0.5326
B5 B 0.0000 0.0000 0.6695
B6 B 0.0000 0.0000 0.8633
B7 B 0.5000 0.0000 0.0735
B8 B 0.5000 0.0000 0.1417
B9 B 0.5000 0.0000 0.3300
B10 B 0.5000 0.0000 0.4654
B11 B 0.5000 0.0000 0.5312
B12 B 0.5000 0.0000 0.7362
B13 B 0.5000 0.0000 0.9229
C1 C 0.0000 0.0000 0.1371
C2 C 0.0000 0.0000 0.3313
C3 C 0.0000 0.0000 0.7343
C4 C 0.0000 0.0000 0.9285
C5 C 0.5000 0.0000 0.2673
C6 C 0.5000 0.0000 0.6727
C7 C 0.5000 0.0000 0.8619
```

Peak list (10 most intense, 2θ = 10–90°, by angle)
2θ/deg, I_rel, (hkl)
35.33, 109, 0 0 10
36.39, 172, 0 1 5
41.37, 498, 2 0 10
42.30, 1000, 2 1 5
42.40, 383, 4 0 0
57.08, 96, 4 1 5
64.11, 168, 0 1 15
77.49, 126, 6 1 5
79.91, 163, 4 1 15
81.09, 102, 2 2 10


Starting from a cell relaxed with GGA-PBE, the XRD peak list of Na10B13C7 was simulated for a wavelength of 1.5418 Å.
Kinematic intensities with the Lorentz-polarization factor, no thermal factor.

Atomic structure:
```
data_Na10B13C7
_chemical_formula_sum 'Na20 B26 C14'
_space_group_name_H-M_alt 'C 1 m 1'
_space_group_IT_number 8
_cell_length_a 22.8443
_cell_length_b 2.8273
_cell_length_c 9.9366
_cell_angle_alpha 90.00
_cell_angle_beta 107.59
_cell_angle_gamma 90.00
loop_
_space_group_symop_operation_xyz
'x,y,z'
'x,-y,z'
'x+1/2,y+1/2,z'
'x+1/2,-y+1/2,z'
loop_
_atom_site_label
_atom_site_type_symbol
_atom_site_fract_x
_atom_site_fract_y
_atom_site_fract_z
Na1 Na 0.0000 0.0000 0.0000
Na2 Na 0.9996 0.5000 0.4933
Na3 Na 0.0998 0.0000 0.6962
Na4 Na 0.1005 0.5000 0.1992
Na5 Na 0.1997 0.0000 0.3990
Na6 Na 0.2010 0.5000 0.8965
Na7 Na 0.2980 0.5000 0.6003
Na8 Na 0.3008 0.0000 0.0996
Na9 Na 0.3985 0.0000 0.8009
Na10 Na 0.3999 0.5000 0.2976
B1 B 0.0155 0.5000 0.7790
B2 B 0.0159 0.0000 0.2803
B3 B 0.0808 0.5000 0.9096
B4 B 0.1133 0.5000 0.4732
B5 B 0.1234 0.0000 0.9945
B6 B 0.1914 0.0000 0.1317
B7 B 0.2105 0.0000 0.6683
B8 B 0.2820 0.0000 0.8133
B9 B 0.2856 0.5000 0.3213
B10 B 0.3222 0.5000 0.8949
B11 B 0.3797 0.0000 0.5077
B12 B 0.4185 0.0000 0.0883
B13 B 0.4723 0.5000 0.6923
C1 C 0.0817 0.0000 0.4098
C2 C 0.1792 0.5000 0.6042
C3 C 0.2216 0.5000 0.1939
C4 C 0.3164 0.0000 0.3824
C5 C 0.3861 0.5000 0.0242
C6 C 0.4117 0.5000 0.5703
C7 C 0.4837 0.0000 0.2178
```

Peak list (10 most intense, 2θ = 10–90°, by angle)
2θ/deg, I_rel, (hkl)
35.41, 120, 6 0 2
36.38, 195, 3 1 1
41.43, 565, 10 0 0
42.27, 566, 1 1 -3
42.32, 1000, 8 0 -4
57.04, 110, 5 1 -5
64.21, 190, 9 1 3
77.41, 142, 15 1 -5
81.09, 116, 10 2 0
81.71, 94, 8 2 -4